# 1
The following is a theoretical PXRD pattern of Hf6Tl3N. It was derived from a structure optimized by DFT (PBE), using Cu Kα X-rays.

Structure:
```
data_Hf6Tl3N
_chemical_formula_sum 'Hf12 Tl6 N2'
_cell_length_a 5.8285
_cell_length_b 7.8525
_cell_length_c 10.8998
_cell_angle_alpha 90.00
_cell_angle_beta 120.68
_cell_angle_gamma 90.00
_symmetry_space_group_name_H-M 'P 1'
_symmetry_Int_Tables_number 1
loop_
_symmetry_equiv_pos_as_xyz
'x,y,z'
loop_
_atom_site_label
_atom_site_type_symbol
_atom_site_fract_x
_atom_site_fract_y
_atom_site_fract_z
Hf1 Hf 0.0623 0.0665 0.2131
Hf2 Hf 0.0623 0.4335 0.7131
Hf3 Hf 0.1852 0.7492 0.5695
Hf4 Hf 0.1852 0.7508 0.0695
Hf5 Hf 0.3921 0.1382 0.0436
Hf6 Hf 0.3921 0.3618 0.5436
Hf7 Hf 0.6079 0.6382 0.4564
Hf8 Hf 0.6079 0.8618 0.9564
Hf9 Hf 0.8148 0.2492 0.9305
Hf10 Hf 0.8148 0.2508 0.4305
Hf11 Hf 0.9377 0.5665 0.2869
Hf12 Hf 0.9377 0.9335 0.7869
Tl1 Tl 0.3027 0.0961 0.7142
Tl2 Tl 0.3027 0.4039 0.2142
Tl3 Tl 0.5000 0.0000 0.5000
Tl4 Tl 0.5000 0.5000 0.0000
Tl5 Tl 0.6973 0.5961 0.7858
Tl6 Tl 0.6973 0.9039 0.2858
N1 N 0.0000 0.0000 0.0000
N2 N 0.0000 0.5000 0.5000
```

Principal peaks in the range 10 to 80 degrees two-theta, in order of rising 2θ:
| 2theta | I_rel |
| --- | --- |
| 29.18 | 53 |
| 32.12 | 79 |
| 32.79 | 36 |
| 33.77 | 71 |
| 34.14 | 27 |
| 34.45 | 100 |
| 34.89 | 48 |
| 37.67 | 51 |
| 38.81 | 69 |
| 39.46 | 75 |

***

# 2
The following is a theoretical PXRD pattern of Tm5Hf3N8. It was derived from a structure optimized by DFT (PBE), using Cu Kα X-rays.

Structure:
```
data_Tm5Hf3N8
_chemical_formula_sum 'Tm5 Hf3 N8'
_cell_length_a 6.6430
_cell_length_b 6.6430
_cell_length_c 6.6430
_cell_angle_alpha 59.76
_cell_angle_beta 59.76
_cell_angle_gamma 59.76
_symmetry_space_group_name_H-M 'P 1'
_symmetry_Int_Tables_number 1
loop_
_symmetry_equiv_pos_as_xyz
'x,y,z'
loop_
_atom_site_label
_atom_site_type_symbol
_atom_site_fract_x
_atom_site_fract_y
_atom_site_fract_z
Tm1 Tm 0.0000 0.0000 0.0000
Tm2 Tm 0.0000 0.5000 0.5000
Tm3 Tm 0.5000 0.0000 0.5000
Tm4 Tm 0.5000 0.5000 0.0000
Tm5 Tm 0.5000 0.5000 0.5000
Hf1 Hf 0.0000 0.0000 0.5000
Hf2 Hf 0.0000 0.5000 0.0000
Hf3 Hf 0.5000 0.0000 0.0000
N1 N 0.2364 0.7500 0.7500
N2 N 0.2441 0.2441 0.2441
N3 N 0.2500 0.2500 0.7636
N4 N 0.2500 0.7636 0.2500
N5 N 0.7500 0.2364 0.7500
N6 N 0.7500 0.7500 0.2364
N7 N 0.7559 0.7559 0.7559
N8 N 0.7636 0.2500 0.2500
```

Principal peaks in the range 10 to 80 degrees two-theta, in order of rising 2θ:
| 2theta | I_rel |
| --- | --- |
| 32.97 | 34 |
| 33.13 | 100 |
| 38.40 | 92 |
| 55.32 | 31 |
| 55.53 | 31 |
| 65.92 | 15 |
| 66.15 | 44 |
| 69.15 | 5 |
| 69.53 | 16 |